# CeHf2F11
Calculated powder XRD pattern, Cu Kα, 1.54184 Å. Input: a crystal structure in the Materials Project, relaxed with GGA-PBE.

Crystal structure
Unit cell a=8.4646 b=8.4646 c=8.4646 alpha=125.12 beta=106.77 gamma=97.83
Fractional positions:
Ce (0.2500, 0.2500, 0.0000)
Ce (0.7500, 0.7500, 0.0000)
Hf (0.1809, 0.6336, 0.8145)
Hf (0.3191, 0.1336, 0.4528)
Hf (0.6809, 0.8664, 0.5472)
Hf (0.8191, 0.3664, 0.1855)
F (0.0000, 0.5000, 0.5000)
F (0.0514, 0.3655, 0.1601)
F (0.0514, 0.9673, 0.2887)
F (0.1786, 0.4673, 0.9160)
F (0.2055, 0.8913, 0.8399)
F (0.2207, 0.3705, 0.5912)
F (0.2793, 0.8705, 0.1499)
F (0.2945, 0.1345, 0.6858)
F (0.3214, 0.2373, 0.2887)
F (0.4486, 0.6087, 0.3142)
F (0.4486, 0.7373, 0.9160)
F (0.5000, 0.0000, 0.5000)
F (0.5514, 0.2627, 0.0840)
F (0.5514, 0.3913, 0.6858)
F (0.6786, 0.7627, 0.7113)
F (0.7055, 0.8655, 0.3142)
F (0.7207, 0.1295, 0.8501)
F (0.7793, 0.6295, 0.4088)
F (0.7945, 0.1087, 0.1601)
F (0.8214, 0.5327, 0.0840)
F (0.9486, 0.0327, 0.7113)
F (0.9486, 0.6345, 0.8399)

Most intense lines, 2θ from 10° to 90°, low angle first:
d = 5.563 Å, 15.9°, I 467
d = 4.133 Å, 21.5°, I 1000
d = 3.961 Å, 22.4°, I 563
d = 3.739 Å, 23.8°, I 780
d = 3.458 Å, 25.8°, I 912
d = 2.067 Å, 43.8°, I 496